# PmAl3
Computed powder diffraction line list, Cu Kα X-rays. Input: a crystal structure in Alexandria, relaxed with GGA-PBE.
Intensities are scaled so that the largest is 100.

Most intense lines, 10 to 90 degrees two-theta, by angle:
index, two_theta, Rel. int.
1 0 0, 15.90, 22
1 0 1, 24.93, 99
1 1 0, 27.73, 48
2 0 0, 32.12, 25
2 0 1, 37.63, 100
0 0 2, 38.72, 22
2 1 1, 47.38, 24
1 1 2, 48.28, 21
3 1 1, 63.42, 19
2 2 2, 71.28, 18

Structure:
```
data_PmAl3
_chemical_formula_sum 'Pm2 Al6'
_cell_length_a 6.435
_cell_length_b 6.435
_cell_length_c 4.651
_cell_angle_alpha 90.00
_cell_angle_beta 90.00
_cell_angle_gamma 120.00
_symmetry_space_group_name_H-M 'P 1'
_symmetry_Int_Tables_number 1
loop_
_symmetry_equiv_pos_as_xyz
'x,y,z'
loop_
_atom_site_label
_atom_site_fract_x
_atom_site_fract_y
_atom_site_fract_z
Pm1 0.333 0.667 0.250
Pm2 0.667 0.333 0.750
Al1 0.142 0.285 0.750
Al2 0.142 0.858 0.750
Al3 0.285 0.142 0.250
Al4 0.715 0.858 0.750
Al5 0.858 0.142 0.250
Al6 0.858 0.715 0.250
```